Diffraction record for Ti2NbS2. The powder diffractogram is calculated, not measured: it uses a PBE-relaxed structure and Cu Kα X-rays.

Peak list (6 most intense, 2θ from 10° to 90°, sorted by position)
Position (°2θ)  I_rel  index
30.2  100  1 1 1
39.2  83  1 1 2
41.5  54  0 6 1
43.5  64  1 3 2
44.2  71  1 5 1
44.9  54  0 2 3

Atomic structure:
```
data_Ti2NbS2
_cell_length_a 3.4415
_cell_length_b 13.9040
_cell_length_c 6.3352
_cell_angle_alpha 90.00
_cell_angle_beta 90.00
_cell_angle_gamma 90.00
_symmetry_space_group_name_H-M 'C m c 21'
_symmetry_Int_Tables_number 36
loop_
_symmetry_equiv_pos_as_xyz
'x,y,z'
'-x,-y,z+1/2'
'-x,y,z'
'x,-y,z+1/2'
'x+1/2,y+1/2,z'
'-x+1/2,-y+1/2,z+1/2'
'-x+1/2,y+1/2,z'
'x+1/2,-y+1/2,z+1/2'
loop_
_atom_site_label
_atom_site_type_symbol
_atom_site_fract_x
_atom_site_fract_y
_atom_site_fract_z
Ti1 Ti 0.0000 0.0304 0.0000
Ti2 Ti 0.0000 0.1732 0.6668
Nb1 Nb 0.0000 0.3696 0.8294
S1 S 0.0000 0.2085 0.0517
S2 S 0.0000 0.4507 0.2136
```